Diffraction record for Sr3NbCoO7. The X-ray diffraction stick pattern is calculated, not measured: it uses DFT lattice parameters and positions (PBE+U) and Cu Kα (weighted mean of Kα1 and Kα2).
Peak positions follow from Bragg's law for the DFT cell and can differ from measured ones.

Crystal structure
```
data_Sr3NbCoO7
_cell_length_a 21.7452
_cell_length_b 4.0009
_cell_length_c 3.9718
_cell_angle_alpha 90.00
_cell_angle_beta 100.36
_cell_angle_gamma 90.00
_space_group_name_H-M_alt 'C 1 m 1'
_space_group_IT_number 8
_space_group_name_Hall 'C -2y'
loop_
_atom_site_label
_atom_site_type_symbol
_atom_site_fract_x
_atom_site_fract_y
_atom_site_fract_z
Sr1 Sr 0.0000 0.0000 0.0000
Sr2 Sr 0.1273 0.5000 0.6344
Sr3 Sr 0.3377 0.5000 0.8356
Nb1 Nb 0.2195 0.0000 0.2252
Co1 Co 0.4269 0.0000 0.4145
O1 O 0.0155 0.5000 0.5419
O2 O 0.1203 0.0000 0.1314
O3 O 0.2132 0.0000 0.7205
O4 O 0.2136 0.5000 0.2202
O5 O 0.3090 0.0000 0.3185
O6 O 0.4143 0.0000 0.9253
O7 O 0.4151 0.5000 0.4217
```

Largest 8 diffraction maxima, most intense first, 15 to 90 degrees two-theta:
d (Å), I_rel, h k l
2.920, 100, 5 1 0
2.819, 86, 1 1 -1
2.907, 33, 6 0 -1
2.000, 27, 0 2 0
1.986, 26, 2 0 -2
1.649, 25, 6 2 -1
2.139, 19, 10 0 0
1.409, 16, 2 2 -2